Li2Cr3WO8: calculated PXRD pattern (λ = 1.5418 Å (Cu Kα)), based on a PBE+U-relaxed structure.

Structure:
Cell lengths 6.0447, 6.0447, 6.0447 Å; angles 59.80, 59.80, 59.80 degrees
Sites, in units of the cell vectors:
Li  0.1295  0.1295  0.1295
Li  0.8705  0.8705  0.8705
Cr  0.0000  0.5000  0.5000
Cr  0.5000  0.0000  0.5000
Cr  0.5000  0.5000  0.0000
W  0.5000  0.5000  0.5000
O  0.2640  0.2640  0.7179
O  0.2640  0.7179  0.2640
O  0.2656  0.2656  0.2656
O  0.2821  0.7360  0.7360
O  0.7179  0.2640  0.2640
O  0.7344  0.7344  0.7344
O  0.7360  0.2821  0.7360
O  0.7360  0.7360  0.2821

The 10 most intense peaks (2θ from 15° to 90°), in order of rising 2θ:
2θ/deg, d (Å), Rel. int.
18.02, 4.923, 100
20.81, 4.268, 18
29.61, 3.017, 16
34.84, 2.575, 54
36.50, 2.462, 13
42.36, 2.134, 38
46.44, 1.955, 12
56.01, 1.642, 21
61.35, 1.511, 12
64.50, 1.445, 12